[1]
Diffraction record for La4NdTl. The XRD peak list is calculated, not measured: it uses a DFT-relaxed cell (PBE, Alexandria) and Cu Ka.
No peak broadening, texture or thermal motion is included.

Structure:
Unit cell a=6.304 b=7.151 c=8.898 alpha=90.00 beta=91.29 gamma=90.00
Space group P2_1/m (No. 11)
Inequivalent atoms, fractional coordinates:
La: 0.025 0.250 0.010
La: 0.157 0.507 0.658
La: 0.337 0.750 0.325
Nd: 0.500 0.000 0.000
Tl: 0.346 0.250 0.340

Top 12 peaks for 15 to 90 degrees two-theta, low angle first:
| two_theta | I (rel.) |
| --- | --- |
| 30.14 | 34 |
| 30.33 | 100 |
| 34.51 | 24 |
| 35.40 | 44 |
| 50.17 | 16 |
| 50.38 | 16 |
| 51.09 | 8 |
| 59.29 | 15 |
| 60.21 | 9 |
| 60.40 | 9 |
| 60.52 | 18 |
| 63.10 | 12 |

---

[2]
Diffraction record for Dy4Y3Mg2. The XRD peak list is calculated, not measured: it uses a DFT-relaxed cell (PBE, Alexandria) and Cu Ka.
No peak broadening, texture or thermal motion is included.

Structure:
Unit cell a=14.838 b=4.929 c=7.832 alpha=90.00 beta=108.73 gamma=90.00
Space group C2/m (No. 12)
Inequivalent atoms, fractional coordinates:
Dy: 0.056 0.000 0.335
Dy: 0.221 0.500 0.330
Y: 0.000 0.500 0.000
Y: 0.112 0.500 0.668
Mg: 0.169 0.000 0.999

Top 12 peaks for 15 to 90 degrees two-theta, low angle first:
| two_theta | I (rel.) |
| --- | --- |
| 26.22 | 25 |
| 31.31 | 100 |
| 31.43 | 99 |
| 36.33 | 67 |
| 36.46 | 33 |
| 52.43 | 58 |
| 62.18 | 28 |
| 62.40 | 41 |
| 62.49 | 14 |
| 65.32 | 12 |
| 85.87 | 12 |
| 88.68 | 16 |

---

[3]
Diffraction record for LiCa2AlPt2. The XRD peak list is calculated, not measured: it uses a DFT-relaxed cell (PBE, Alexandria) and Cu Ka.
No peak broadening, texture or thermal motion is included.

Structure:
Unit cell a=5.861 b=14.445 c=5.919 alpha=90.00 beta=90.00 gamma=90.00
Space group Ibam (No. 72)
Inequivalent atoms, fractional coordinates:
Li: 0.000 0.000 0.250
Ca: 0.233 0.173 0.000
Al: 0.000 0.500 0.250
Pt: 0.224 0.391 0.000

Top 12 peaks for 15 to 90 degrees two-theta, low angle first:
| two_theta | I (rel.) |
| --- | --- |
| 24.67 | 100 |
| 30.20 | 24 |
| 30.50 | 21 |
| 32.83 | 21 |
| 39.36 | 21 |
| 39.61 | 19 |
| 43.44 | 42 |
| 50.41 | 12 |
| 50.59 | 15 |
| 50.81 | 9 |
| 55.47 | 10 |
| 68.83 | 12 |

---

[4]
Diffraction record for LiH4Pd2. The XRD peak list is calculated, not measured: it uses a DFT-relaxed cell (PBE, Alexandria) and Cu Ka.
No peak broadening, texture or thermal motion is included.

Structure:
Unit cell a=8.019 b=8.138 c=5.673 alpha=90.00 beta=134.79 gamma=90.00
Space group C2/c (No. 15)
Inequivalent atoms, fractional coordinates:
Li: 0.000 0.125 0.250
H: 0.002 0.273 0.541
H: 0.211 0.477 0.958
Pd: 0.000 0.500 0.000
Pd: 0.250 0.250 0.000

Top 12 peaks for 15 to 90 degrees two-theta, low angle first:
| two_theta | I (rel.) |
| --- | --- |
| 19.05 | 100 |
| 36.71 | 21 |
| 37.01 | 20 |
| 37.12 | 20 |
| 38.65 | 64 |
| 44.53 | 11 |
| 45.04 | 11 |
| 45.23 | 11 |
| 49.10 | 11 |
| 59.63 | 7 |
| 65.20 | 7 |
| 78.08 | 8 |

---

[5]
Diffraction record for EuSc3. The XRD peak list is calculated, not measured: it uses a DFT-relaxed cell (PBE, Alexandria) and Cu Ka.
No peak broadening, texture or thermal motion is included.

Structure:
Unit cell a=4.768 b=4.768 c=4.768 alpha=90.00 beta=90.00 gamma=90.00
Space group Pm-3m (No. 221)
Inequivalent atoms, fractional coordinates:
Eu: 0.000 0.000 0.000
Sc: 0.000 0.500 0.500

Top 12 peaks for 15 to 90 degrees two-theta, low angle first:
| two_theta | I (rel.) |
| --- | --- |
| 18.61 | 39 |
| 26.44 | 35 |
| 32.53 | 100 |
| 37.73 | 49 |
| 42.39 | 21 |
| 46.66 | 16 |
| 54.43 | 32 |
| 58.03 | 11 |
| 64.86 | 37 |
| 68.12 | 11 |
| 74.45 | 8 |
| 89.62 | 16 |

---

[6]
Diffraction record for CsTiTlTe3. The XRD peak list is calculated, not measured: it uses a DFT-relaxed cell (PBE, Alexandria) and Cu Ka.
No peak broadening, texture or thermal motion is included.

Structure:
Unit cell a=8.219 b=16.184 c=7.555 alpha=90.00 beta=101.63 gamma=90.00
Space group C2/c (No. 15)
Inequivalent atoms, fractional coordinates:
Cs: 0.000 0.249 0.250
Ti: 0.000 0.452 0.750
Tl: 0.000 0.085 0.750
Te: 0.000 0.292 0.750
Te: 0.218 0.463 0.502

Top 12 peaks for 15 to 90 degrees two-theta, low angle first:
| two_theta | I (rel.) |
| --- | --- |
| 18.67 | 26 |
| 21.98 | 31 |
| 24.35 | 100 |
| 24.70 | 48 |
| 25.06 | 37 |
| 26.49 | 45 |
| 29.31 | 87 |
| 29.75 | 31 |
| 31.96 | 26 |
| 36.14 | 50 |
| 37.17 | 42 |
| 39.68 | 27 |

---

[7]
Diffraction record for AlGaSeS. The XRD peak list is calculated, not measured: it uses a DFT-relaxed cell (PBE, Alexandria) and Cu Ka.
No peak broadening, texture or thermal motion is included.

Structure:
Unit cell a=3.7111 b=3.7111 c=8.8081 alpha=90.00 beta=90.00 gamma=120.00
Space group P3m1 (No. 156)
Inequivalent atoms, fractional coordinates:
Al: 0.0000 0.0000 0.0000
Ga: 0.0000 0.0000 0.7161
Se: 0.3333 0.6667 0.5766
S: 0.6667 0.3333 0.1122

Top 12 peaks for 15 to 90 degrees two-theta, low angle first:
| two_theta | I (rel.) |
| --- | --- |
| 20.16 | 51 |
| 27.76 | 14 |
| 29.59 | 100 |
| 34.55 | 29 |
| 41.67 | 60 |
| 49.10 | 36 |
| 50.23 | 49 |
| 53.59 | 20 |
| 58.37 | 14 |
| 66.31 | 14 |
| 72.87 | 11 |
| 86.76 | 14 |

---

[8]
Diffraction record for TbPm3Ho8. The XRD peak list is calculated, not measured: it uses a DFT-relaxed cell (PBE, Alexandria) and Cu Ka.
No peak broadening, texture or thermal motion is included.

Structure:
Unit cell a=6.434 b=11.269 c=11.407 alpha=90.00 beta=90.00 gamma=90.00
Space group Immm (No. 71)
Inequivalent atoms, fractional coordinates:
Tb: 0.000 0.000 0.000
Pm: 0.000 0.000 0.500
Pm: 0.000 0.500 0.253
Ho: 0.000 0.169 0.250
Ho: 0.248 0.253 0.500

Top 12 peaks for 15 to 90 degrees two-theta, low angle first:
| two_theta | I (rel.) |
| --- | --- |
| 22.24 | 17 |
| 27.50 | 17 |
| 31.37 | 52 |
| 31.74 | 100 |
| 31.97 | 68 |
| 35.54 | 19 |
| 35.79 | 41 |
| 45.45 | 18 |
| 51.63 | 22 |
| 56.07 | 17 |
| 56.76 | 19 |
| 66.29 | 25 |

---

[9]
Diffraction record for RbLiDyF6. The XRD peak list is calculated, not measured: it uses a DFT-relaxed cell (PBE, Alexandria) and Cu Ka.
No peak broadening, texture or thermal motion is included.

Structure:
Unit cell a=7.496 b=7.584 c=9.528 alpha=90.00 beta=90.00 gamma=90.00
Space group Imma (No. 74)
Inequivalent atoms, fractional coordinates:
Rb: 0.000 0.250 0.081
Li: 0.250 0.250 0.750
Dy: 0.000 0.000 0.500
F: 0.000 0.250 0.375
F: 0.000 0.250 0.651
F: 0.236 0.036 0.880

Top 12 peaks for 15 to 90 degrees two-theta, low angle first:
| two_theta | I (rel.) |
| --- | --- |
| 15.04 | 58 |
| 18.63 | 63 |
| 23.74 | 36 |
| 27.98 | 100 |
| 30.12 | 17 |
| 30.34 | 39 |
| 30.55 | 22 |
| 38.89 | 40 |
| 44.45 | 34 |
| 48.58 | 17 |
| 51.45 | 39 |
| 52.47 | 22 |

---

[10]
Diffraction record for Dy3Y8Ho4. The XRD peak list is calculated, not measured: it uses a DFT-relaxed cell (PBE, Alexandria) and Cu Ka.
No peak broadening, texture or thermal motion is included.

Structure:
Unit cell a=6.9406 b=6.9406 c=35.1619 alpha=90.00 beta=90.00 gamma=120.00
Space group R-3m (No. 166, hexagonal axes)
Inequivalent atoms, fractional coordinates:
Dy: 0.0000 0.5000 0.0000
Y: 0.0000 0.0000 0.2547
Y: 0.0011 0.5006 0.2500
Ho: 0.0000 0.0000 0.0000
Ho: 0.0000 0.0000 0.1640
Ho: 0.0000 0.0000 0.5000

Top 12 peaks for 15 to 90 degrees two-theta, low angle first:
| two_theta | I (rel.) |
| --- | --- |
| 25.67 | 22 |
| 26.79 | 36 |
| 29.88 | 56 |
| 30.51 | 67 |
| 31.46 | 100 |
| 34.57 | 24 |
| 34.79 | 21 |
| 36.21 | 74 |
| 51.52 | 22 |
| 52.76 | 44 |
| 62.18 | 52 |
| 87.05 | 20 |

---

[11]
Diffraction record for YBe2Tc. The XRD peak list is calculated, not measured: it uses a DFT-relaxed cell (PBE, Alexandria) and Cu Ka.
No peak broadening, texture or thermal motion is included.

Structure:
Unit cell a=3.8526 b=3.8526 c=14.9351 alpha=90.00 beta=90.00 gamma=120.00
Space group R3m (No. 160, hexagonal axes)
Inequivalent atoms, fractional coordinates:
Y: 0.0000 0.0000 0.0000
Be: 0.0000 0.0000 0.4839
Be: 0.0000 0.0000 0.8087
Tc: 0.0000 0.0000 0.1975

Top 12 peaks for 15 to 90 degrees two-theta, low angle first:
| two_theta | I (rel.) |
| --- | --- |
| 27.39 | 100 |
| 29.32 | 12 |
| 36.10 | 69 |
| 40.54 | 56 |
| 47.18 | 40 |
| 55.41 | 17 |
| 60.81 | 34 |
| 63.92 | 14 |
| 68.88 | 12 |
| 75.65 | 25 |
| 83.15 | 13 |
| 87.74 | 13 |

---

[12]
Diffraction record for KNdAu10. The XRD peak list is calculated, not measured: it uses a DFT-relaxed cell (PBE, Alexandria) and Cu Ka.
No peak broadening, texture or thermal motion is included.

Structure:
Unit cell a=4.677 b=5.640 c=9.890 alpha=90.00 beta=90.00 gamma=90.00
Space group Pmmm (No. 47)
Inequivalent atoms, fractional coordinates:
K: 0.000 0.000 0.000
Nd: 0.000 0.500 0.500
Au: 0.000 0.000 0.339
Au: 0.000 0.500 0.176
Au: 0.500 0.000 0.500
Au: 0.500 0.254 0.257
Au: 0.500 0.500 0.000

Top 12 peaks for 15 to 90 degrees two-theta, low angle first:
| two_theta | I (rel.) |
| --- | --- |
| 17.94 | 29 |
| 18.11 | 53 |
| 36.69 | 25 |
| 36.97 | 100 |
| 37.23 | 49 |
| 38.50 | 56 |
| 41.30 | 36 |
| 41.62 | 77 |
| 42.83 | 20 |
| 60.00 | 24 |
| 65.60 | 23 |
| 78.72 | 28 |